# 1
Diffraction record for Cr2S5. The powder XRD pattern is computed, not measured: it uses DFT lattice parameters and positions (GGA-PBE) and Cu Kα (λ = 1.5418 Å).
Neutral-atom scattering factors, no anomalous dispersion.

Top 6 peaks for 10 to 90 degrees two-theta, low angle first:
Position (°2θ)	I/Imax	h k l
13.3	100.0	1 0 0
14.9	24.1	1 0 1
21.9	42.1	0 1 1
23.8	22.7	1 0 -3
24.9	24.1	1 1 0
26.9	22.6	2 0 0

Cell and atoms:
```
data_Cr2S5
_chemical_formula_sum 'Cr4 S10'
_space_group_name_H-M_alt 'P 1 m 1'
_space_group_IT_number 6
_space_group_name_Hall 'P -2y'
_cell_length_a 6.639
_cell_length_b 4.248
_cell_length_c 13.550
_cell_angle_alpha 90.00
_cell_angle_beta 90.03
_cell_angle_gamma 90.00
loop_
_atom_site_label
_atom_site_fract_x
_atom_site_fract_y
_atom_site_fract_z
Cr1 0.000 0.000 0.000
Cr2 0.000 0.000 0.295
Cr3 0.186 0.500 0.795
Cr4 0.187 0.500 0.499
S1 0.066 0.500 0.647
S2 0.079 0.000 0.462
S3 0.079 0.000 0.833
S4 0.107 0.500 0.332
S5 0.109 0.500 0.963
S6 0.123 0.000 0.148
S7 0.485 0.500 0.787
S8 0.487 0.500 0.506
S9 0.701 0.000 0.006
S10 0.701 0.000 0.288
```

=====

# 2
Diffraction record for MgBi3. The powder XRD pattern is computed, not measured: it uses DFT lattice parameters and positions (GGA-PBE) and Cu Kα (λ = 1.5418 Å).
Neutral-atom scattering factors, no anomalous dispersion.

Top 6 peaks for 10 to 90 degrees two-theta, low angle first:
Position (°2θ)	I/Imax	h k l
21.6	28.5	1 0 1
29.4	23.4	2 0 0
32.1	25.4	0 0 2
33.6	100.0	2 0 1
58.1	21.5	2 0 3
62.6	22.5	2 2 2

Cell and atoms:
```
data_MgBi3
_chemical_formula_sum 'Mg2 Bi6'
_space_group_name_H-M_alt 'P 63/m m c'
_space_group_IT_number 194
_space_group_name_Hall '-P 6c 2c'
_cell_length_a 7.0072
_cell_length_b 7.0072
_cell_length_c 5.5841
_cell_angle_alpha 90.00
_cell_angle_beta 90.00
_cell_angle_gamma 120.00
loop_
_atom_site_label
_atom_site_fract_x
_atom_site_fract_y
_atom_site_fract_z
Mg1 0.3333 0.6667 0.2500
Bi1 0.1731 0.3462 0.7500
```

=====

# 3
Diffraction record for In6S7. The powder XRD pattern is computed, not measured: it uses DFT lattice parameters and positions (GGA-PBE) and Cu Kα (λ = 1.5418 Å).
Neutral-atom scattering factors, no anomalous dispersion.

Top 6 peaks for 10 to 90 degrees two-theta, low angle first:
Position (°2θ)	I/Imax	h k l
24.8	90.4	1 0 4
27.5	69.8	1 1 2
29.3	83.3	3 0 -2
31.2	64.4	2 1 1
32.0	76.3	2 1 -3
34.3	100.0	2 1 -4

Cell and atoms:
```
data_In6S7
_chemical_formula_sum 'In12 S14'
_space_group_name_H-M_alt 'P 1 21/m 1'
_space_group_IT_number 11
_space_group_name_Hall '-P 2yb'
_cell_length_a 9.244
_cell_length_b 3.946
_cell_length_c 17.510
_cell_angle_alpha 90.00
_cell_angle_beta 102.01
_cell_angle_gamma 90.00
loop_
_atom_site_label
_atom_site_fract_x
_atom_site_fract_y
_atom_site_fract_z
In1 0.022 0.250 0.104
In2 0.068 0.250 0.621
In3 0.183 0.750 0.311
In4 0.327 0.250 0.968
In5 0.355 0.750 0.546
In6 0.469 0.250 0.775
S1 0.116 0.250 0.847
S2 0.166 0.250 0.495
S3 0.168 0.750 0.032
S4 0.240 0.250 0.228
S5 0.246 0.750 0.674
S6 0.443 0.750 0.410
S7 0.464 0.750 0.910
```

=====

- What is the formula in the second record?
  MgBi3